Starting from a crystal structure in Alexandria, relaxed with GGA-PBE, the powder diffraction line list of Rb3OsCl8 was simulated for Cu Kα X-rays.
No peak broadening, texture or thermal motion is included.

```
Rb3OsCl8
1.0
9.8344 0.0000 0.0000
-4.9172 8.5168 0.0000
0.0000 0.0000 9.2581
Rb Os Cl
6 2 16
direct
0.1523 0.3046 0.0000
0.1523 0.8477 0.0000
0.3046 0.1523 0.5000
0.6954 0.8477 0.0000
0.8477 0.1523 0.5000
0.8477 0.6954 0.5000
0.3333 0.6667 0.4592
0.6667 0.3333 0.9592
0.0000 0.0000 0.2570
0.0000 0.0000 0.7570
0.1105 0.5552 0.3166
0.2214 0.4428 0.6059
0.2214 0.7786 0.6059
0.3333 0.6667 0.9668
0.4428 0.2214 0.1059
0.4448 0.5552 0.3166
0.4448 0.8895 0.3166
0.5552 0.1105 0.8166
0.5552 0.4448 0.8166
0.5572 0.7786 0.6059
0.6667 0.3333 0.4668
0.7786 0.2214 0.1059
0.7786 0.5572 0.1059
0.8895 0.4448 0.8166
```

Peak list (12 most intense, 15° ≤ 2θ ≤ 90°, by intensity)
| d_spacing | two_theta | Rel. int. |
| --- | --- | --- |
| 3.869 | 22.99 | 100 |
| 3.134 | 28.48 | 59 |
| 2.499 | 35.94 | 38 |
| 2.459 | 36.55 | 37 |
| 4.629 | 19.17 | 37 |
| 2.171 | 41.59 | 35 |
| 4.917 | 18.04 | 29 |
| 2.643 | 33.92 | 22 |
| 1.586 | 58.18 | 21 |
| 4.258 | 20.86 | 20 |
| 1.685 | 54.45 | 17 |
| 2.075 | 43.62 | 16 |

---

Starting from a crystal structure in Alexandria, relaxed with GGA-PBE, the powder diffraction line list of TmThZrSc3 was simulated for Cu Kα X-rays.
No peak broadening, texture or thermal motion is included.

```
TmThZrSc3
1.0
7.4634 0.0000 0.0000
0.0000 4.7600 0.0000
-2.9934 0.0000 8.9016
Tm Th Zr Sc
2 2 2 6
direct
0.1691 0.2500 0.2979
0.8309 0.7500 0.7021
0.4987 0.7500 0.8714
0.5013 0.2500 0.1286
0.4987 0.7500 0.3818
0.5013 0.2500 0.6182
0.1725 0.7500 0.0467
0.1759 0.2500 0.7878
0.1780 0.7500 0.5413
0.8220 0.2500 0.4587
0.8241 0.7500 0.2122
0.8275 0.2500 0.9533
```

Peak list (12 most intense, 15° ≤ 2θ ≤ 90°, by intensity)
| d_spacing | two_theta | Rel. int. |
| --- | --- | --- |
| 2.727 | 32.84 | 100 |
| 2.380 | 37.80 | 17 |
| 4.198 | 21.17 | 17 |
| 2.358 | 38.17 | 17 |
| 2.348 | 38.34 | 16 |
| 1.432 | 65.13 | 14 |
| 1.420 | 65.75 | 14 |
| 1.675 | 54.80 | 13 |
| 1.671 | 54.93 | 11 |
| 4.838 | 18.34 | 11 |
| 3.254 | 27.41 | 11 |
| 1.424 | 65.53 | 7 |

---

Starting from a crystal structure in Alexandria, relaxed with GGA-PBE, the powder diffraction line list of TcGe2Pd was simulated for Cu Kα X-rays.
No peak broadening, texture or thermal motion is included.

```
TcGe2Pd
1.0
3.0633 0.0000 0.0000
-1.5317 2.6529 0.0000
0.0000 0.0000 23.0918
Tc Ge Pd
3 6 3
direct
0.0000 0.0000 0.0000
0.3333 0.6667 0.6667
0.6667 0.3333 0.3333
0.0000 0.0000 0.4126
0.0000 0.0000 0.5860
0.3333 0.6667 0.0792
0.3333 0.6667 0.2526
0.6667 0.3333 0.7459
0.6667 0.3333 0.9193
0.0000 0.0000 0.1621
0.3333 0.6667 0.8288
0.6667 0.3333 0.4955
```

Peak list (12 most intense, 15° ≤ 2θ ≤ 90°, by intensity)
| d_spacing | two_theta | Rel. int. |
| --- | --- | --- |
| 2.300 | 39.16 | 100 |
| 2.067 | 43.79 | 74 |
| 1.532 | 60.44 | 40 |
| 2.586 | 34.70 | 38 |
| 1.198 | 80.08 | 33 |
| 1.924 | 47.23 | 27 |
| 2.636 | 34.02 | 16 |
| 1.275 | 74.41 | 15 |
| 1.231 | 77.57 | 13 |
| 2.411 | 37.30 | 13 |
| 1.209 | 79.23 | 11 |
| 1.742 | 52.54 | 10 |